1.
This entry pairs a crystal structure of TiAgIO6 with its theoretical powder diffraction line list. Radiation: λ = 1.5418 Å (Cu Kα). Structure: a DFT-relaxed cell (GGA-PBE, Alexandria).
No peak broadening, texture or thermal motion is included.

Most intense lines, 15 to 90 degrees two-theta, by angle:
Position (°2θ), d/Å, Rel. int.
21.38, 4.155, 19
26.03, 3.423, 100
34.30, 2.614, 41
43.56, 2.078, 21
49.29, 1.849, 42
56.58, 1.627, 30
78.29, 1.221, 16
82.50, 1.169, 14

Crystal structure
```
TiAgIO6
1.0
5.228 0.000 0.000
-2.614 4.528 0.000
0.000 0.000 10.460
Ti Ag I O
2 2 2 12
direct
0.333 0.667 0.250
0.667 0.333 0.750
0.000 0.000 0.000
0.000 0.000 0.500
0.333 0.667 0.750
0.667 0.333 0.250
0.010 0.385 0.647
0.010 0.625 0.853
0.375 0.385 0.853
0.375 0.990 0.647
0.385 0.010 0.147
0.385 0.375 0.353
0.615 0.625 0.647
0.615 0.990 0.853
0.625 0.010 0.353
0.625 0.615 0.147
0.990 0.375 0.147
0.990 0.615 0.353
```

=====

2.
This entry pairs a crystal structure of Tl2AgIO4 with its theoretical powder diffraction line list. Radiation: λ = 1.5418 Å (Cu Kα). Structure: a DFT-relaxed cell (GGA-PBE, Alexandria).
No peak broadening, texture or thermal motion is included.

Most intense lines, 15 to 90 degrees two-theta, by angle:
Position (°2θ), d/Å, Rel. int.
27.98, 3.188, 100
29.61, 3.017, 36
42.37, 2.133, 18
48.48, 1.878, 25
51.55, 1.773, 36
57.84, 1.594, 12
61.97, 1.498, 10
77.95, 1.226, 11

Crystal structure
```
Tl2AgIO4
1.0
-3.017 3.017 4.798
3.017 -3.017 4.798
3.017 3.017 -4.798
Tl Ag I O
2 1 1 4
direct
0.000 0.000 0.000
0.750 0.250 0.500
0.500 0.500 0.000
0.250 0.750 0.500
0.194 0.081 0.554
0.360 0.806 0.887
0.527 0.640 0.446
0.919 0.473 0.113
```

=====

3.
This entry pairs a crystal structure of ZnAg2IO6 with its theoretical powder diffraction line list. Radiation: λ = 1.5418 Å (Cu Kα). Structure: a DFT-relaxed cell (GGA-PBE, Alexandria).
No peak broadening, texture or thermal motion is included.

Most intense lines, 15 to 90 degrees two-theta, by angle:
Position (°2θ), d/Å, Rel. int.
31.55, 2.835, 38
32.05, 2.793, 76
32.27, 2.774, 100
45.77, 1.983, 39
46.47, 1.954, 17
56.50, 1.629, 15
57.27, 1.609, 33
57.69, 1.598, 13

Crystal structure
```
ZnAg2IO6
1.0
4.772 -2.835 0.000
4.772 2.835 0.000
-3.182 0.000 4.543
Zn Ag I O
1 2 1 6
direct
0.000 0.000 0.000
0.241 0.241 0.764
0.759 0.759 0.236
0.500 0.500 0.500
0.200 0.679 0.206
0.267 0.267 0.381
0.321 0.800 0.794
0.679 0.200 0.206
0.733 0.733 0.619
0.800 0.321 0.794
```

=====

4.
This entry pairs a crystal structure of Zr2AgIO8 with its theoretical powder diffraction line list. Radiation: λ = 1.5418 Å (Cu Kα). Structure: a DFT-relaxed cell (GGA-PBE, Alexandria).
No peak broadening, texture or thermal motion is included.

Most intense lines, 15 to 90 degrees two-theta, by angle:
Position (°2θ), d/Å, Rel. int.
25.90, 3.440, 59
26.12, 3.412, 57
32.17, 2.782, 100
37.12, 2.422, 25
49.79, 1.831, 40
50.04, 1.823, 38
60.91, 1.521, 11
63.81, 1.459, 23

Crystal structure
```
Zr2AgIO8
1.0
3.412 -3.440 0.000
3.412 3.440 0.000
0.000 0.000 6.797
Zr Ag I O
2 1 1 8
direct
0.000 0.000 0.239
0.000 0.000 0.761
0.500 0.500 0.000
0.500 0.500 0.500
0.182 0.818 0.000
0.214 0.786 0.500
0.303 0.303 0.294
0.303 0.303 0.706
0.697 0.697 0.294
0.697 0.697 0.706
0.786 0.214 0.500
0.818 0.182 0.000
```

=====

5.
This entry pairs a crystal structure of AgPbI3 with its theoretical powder diffraction line list. Radiation: λ = 1.5418 Å (Cu Kα). Structure: a DFT-relaxed cell (GGA-PBE, Alexandria).
No peak broadening, texture or thermal motion is included.

Most intense lines, 15 to 90 degrees two-theta, by angle:
Position (°2θ), d/Å, Rel. int.
22.52, 3.948, 65
24.86, 3.582, 100
29.00, 3.079, 49
32.33, 2.769, 62
32.52, 2.753, 52
38.17, 2.358, 45
38.67, 2.328, 79
42.17, 2.143, 49

Crystal structure
```
AgPbI3
1.0
2.358 -12.048 0.000
2.358 12.048 0.000
0.000 0.000 7.563
Ag Pb I
2 2 6
direct
0.112 0.888 0.500
0.888 0.112 0.000
0.339 0.661 0.586
0.661 0.339 0.086
0.099 0.901 0.873
0.222 0.778 0.333
0.438 0.562 0.856
0.562 0.438 0.356
0.778 0.222 0.833
0.901 0.099 0.373
```

=====

6.
This entry pairs a crystal structure of AgPbSeI with its theoretical powder diffraction line list. Radiation: λ = 1.5418 Å (Cu Kα). Structure: a DFT-relaxed cell (GGA-PBE, Alexandria).
No peak broadening, texture or thermal motion is included.

Most intense lines, 15 to 90 degrees two-theta, by angle:
Position (°2θ), d/Å, Rel. int.
24.49, 3.635, 100
27.91, 3.197, 67
30.24, 2.956, 50
35.78, 2.510, 93
40.85, 2.209, 82
54.64, 1.680, 33
55.41, 1.658, 26
71.09, 1.326, 25

Crystal structure
```
AgPbSeI
1.0
2.209 1.275 7.759
-2.209 1.275 7.759
0.000 -2.551 7.759
Ag Pb Se I
1 1 1 1
direct
0.000 0.000 0.000
0.551 0.551 0.551
0.292 0.292 0.292
0.123 0.123 0.123
```

=====

7.
This entry pairs a crystal structure of AgSnPbI5 with its theoretical powder diffraction line list. Radiation: λ = 1.5418 Å (Cu Kα). Structure: a DFT-relaxed cell (GGA-PBE, Alexandria).
No peak broadening, texture or thermal motion is included.

Most intense lines, 15 to 90 degrees two-theta, by angle:
Position (°2θ), d/Å, Rel. int.
16.63, 5.331, 47
21.63, 4.108, 100
21.81, 4.075, 31
25.34, 3.515, 32
27.17, 3.282, 47
31.70, 2.823, 43
35.77, 2.510, 51
37.20, 2.417, 42

Crystal structure
```
AgSnPbI5
1.0
5.123 -6.728 0.000
5.123 6.728 0.000
-4.838 0.000 10.375
Ag Sn Pb I
2 2 2 10
direct
0.072 0.928 0.750
0.928 0.072 0.250
0.385 0.615 0.750
0.615 0.385 0.250
0.000 0.500 0.000
0.500 0.000 0.500
0.173 0.746 0.551
0.179 0.298 0.824
0.254 0.827 0.949
0.298 0.179 0.324
0.364 0.636 0.250
0.636 0.364 0.750
0.702 0.821 0.676
0.746 0.173 0.051
0.821 0.702 0.176
0.827 0.254 0.449
```

=====

8.
This entry pairs a crystal structure of TlAgPdI5 with its theoretical powder diffraction line list. Radiation: λ = 1.5418 Å (Cu Kα). Structure: a DFT-relaxed cell (GGA-PBE, Alexandria).
No peak broadening, texture or thermal motion is included.

Most intense lines, 15 to 90 degrees two-theta, by angle:
Position (°2θ), d/Å, Rel. int.
17.04, 5.204, 100
20.36, 4.361, 62
28.55, 3.127, 36
29.22, 3.056, 47
31.42, 2.847, 63
37.44, 2.402, 55
38.51, 2.338, 35
39.94, 2.257, 36

Crystal structure
```
TlAgPdI5
1.0
4.938 -6.410 0.000
4.938 6.410 0.000
-4.492 0.000 10.142
Tl Ag Pd I
2 2 2 10
direct
0.063 0.937 0.750
0.937 0.063 0.250
0.472 0.528 0.750
0.528 0.472 0.250
0.000 0.500 0.000
0.500 0.000 0.500
0.185 0.282 0.064
0.211 0.789 0.250
0.252 0.653 0.900
0.282 0.185 0.564
0.347 0.748 0.600
0.653 0.252 0.400
0.718 0.815 0.436
0.748 0.347 0.100
0.789 0.211 0.750
0.815 0.718 0.936
```

=====

9.
This entry pairs a crystal structure of Pm3AgI3 with its theoretical powder diffraction line list. Radiation: λ = 1.5418 Å (Cu Kα). Structure: a DFT-relaxed cell (GGA-PBE, Alexandria).
No peak broadening, texture or thermal motion is included.

Most intense lines, 15 to 90 degrees two-theta, by angle:
Position (°2θ), d/Å, Rel. int.
26.66, 3.344, 16
28.54, 3.128, 100
33.60, 2.668, 10
40.80, 2.212, 72
50.54, 1.806, 25
59.06, 1.564, 11
66.88, 1.399, 28
74.27, 1.277, 20

Crystal structure
```
Pm3AgI3
1.0
-6.256 6.256 6.256
6.256 -6.256 6.256
6.256 6.256 -6.256
Pm Ag I
12 4 12
direct
0.013 0.026 0.263
0.013 0.487 0.750
0.026 0.263 0.013
0.237 0.263 0.750
0.237 0.474 0.487
0.263 0.013 0.026
0.263 0.750 0.237
0.474 0.487 0.237
0.487 0.237 0.474
0.487 0.750 0.013
0.750 0.013 0.487
0.750 0.237 0.263
0.000 0.250 0.500
0.250 0.250 0.250
0.250 0.500 0.000
0.500 0.000 0.250
0.250 0.759 0.741
0.250 0.991 0.509
0.509 0.250 0.991
0.509 0.759 0.518
0.518 0.509 0.759
0.741 0.250 0.759
0.741 0.991 0.982
0.759 0.518 0.509
0.759 0.741 0.250
0.982 0.741 0.991
0.991 0.509 0.250
0.991 0.982 0.741
```

=====

10.
This entry pairs a crystal structure of Pm2AgI2 with its theoretical powder diffraction line list. Radiation: λ = 1.5418 Å (Cu Kα). Structure: a DFT-relaxed cell (GGA-PBE, Alexandria).
No peak broadening, texture or thermal motion is included.

Most intense lines, 15 to 90 degrees two-theta, by angle:
Position (°2θ), d/Å, Rel. int.
27.24, 3.273, 100
31.40, 2.849, 45
34.84, 2.575, 14
40.72, 2.216, 43
42.65, 2.120, 42
51.35, 1.779, 17
63.87, 1.457, 21
68.90, 1.363, 14

Crystal structure
```
Pm2AgI2
1.0
2.120 1.224 12.042
-2.120 1.224 12.042
0.000 -2.448 12.042
Pm Ag I
2 1 2
direct
0.116 0.116 0.116
0.884 0.884 0.884
0.500 0.500 0.500
0.276 0.276 0.276
0.724 0.724 0.724
```